Calculated PXRD pattern of HfVO3 for Cu Kα X-rays, from DFT lattice parameters and positions (GGA+U).
Peak positions follow from Bragg's law for the DFT cell and can differ from measured ones.

Cell and atoms:
```
HfVO3
1.0
5.5095 0.0000 0.0000
-2.7548 4.7714 0.0000
0.0000 0.0000 2.8872
Hf V O
1 1 3
Cartesian
0.0000 0.0000 0.0000
0.0000 3.1809 0.0000
0.0000 1.5373 1.4436
-1.4234 4.0027 1.4436
1.4234 4.0027 1.4436
```

Main lines, low angle first (5° ≤ 2θ ≤ 70°):
| 2θ/deg | Rel. int. | hkl |
| --- | --- | --- |
| 18.60 | 100 | 1 0 0 |
| 30.97 | 10 | 0 0 1 |
| 32.50 | 38 | 1 1 0 |
| 36.37 | 26 | 1 0 1 |
| 37.71 | 9 | 2 0 0 |
| 45.51 | 39 | 1 1 1 |
| 49.57 | 19 | 2 0 1 |
| 50.62 | 14 | 2 1 0 |
| 60.53 | 14 | 2 1 1 |
| 67.20 | 12 | 3 0 1 |